Record 1
The following is a calculated PXRD pattern of Te4Mo3WSe2S2. It was derived from a structure optimized by DFT (GGA-PBE), using copper Kα.
Neutral-atom scattering factors, no anomalous dispersion.

Atomic structure:
```
data_Te4Mo3WSe2S2
_chemical_formula_sum 'Te4 Mo3 W1 Se2 S2'
_space_group_name_H-M_alt 'P 1'
_space_group_IT_number 1
_space_group_name_Hall 'P 1'
_cell_length_a 3.4010
_cell_length_b 3.4010
_cell_length_c 38.6524
_cell_angle_alpha 90.00
_cell_angle_beta 90.00
_cell_angle_gamma 120.00
loop_
_atom_site_label
_atom_site_type_symbol
_atom_site_fract_x
_atom_site_fract_y
_atom_site_fract_z
Te1 Te 0.0000 0.0000 0.0000
Te2 Te 0.0000 0.0000 0.0974
Te3 Te 0.3333 0.6667 0.4367
Te4 Te 0.3333 0.6667 0.5335
Mo1 Mo 0.0000 0.0000 0.4851
Mo2 Mo 0.0000 0.0000 0.8609
Mo3 Mo 0.3333 0.6667 0.6730
W1 W 0.3333 0.6667 0.0487
Se1 Se 0.0000 0.0000 0.6304
Se2 Se 0.0000 0.0000 0.7156
S1 S 0.3333 0.6667 0.8220
S2 S 0.3333 0.6667 0.8997
```

Most intense lines, 15° ≤ 2θ ≤ 90°, sorted by position:
| d/Å | Position (°2θ) | I (rel.) |
| --- | --- | --- |
| 2.944 | 30.36 | 49 |
| 2.515 | 35.70 | 100 |
| 2.343 | 38.43 | 29 |
| 2.092 | 43.24 | 54 |
| 1.700 | 53.92 | 32 |
| 1.249 | 76.22 | 17 |

=====

Record 2
The following is a calculated PXRD pattern of Rb3GaF6. It was derived from a structure optimized by DFT (GGA-PBE), using copper Kα.
Neutral-atom scattering factors, no anomalous dispersion.

Atomic structure:
```
data_Rb3GaF6
_chemical_formula_sum 'Rb3 Ga1 F6'
_space_group_name_H-M_alt 'P 1'
_space_group_IT_number 1
_space_group_name_Hall 'P 1'
_cell_length_a 6.4997
_cell_length_b 6.4997
_cell_length_c 6.4997
_cell_angle_alpha 60.00
_cell_angle_beta 60.00
_cell_angle_gamma 60.00
loop_
_atom_site_label
_atom_site_type_symbol
_atom_site_fract_x
_atom_site_fract_y
_atom_site_fract_z
Rb1 Rb 0.0000 0.0000 0.0000
Rb2 Rb 0.2500 0.2500 0.2500
Rb3 Rb 0.7500 0.7500 0.7500
Ga1 Ga 0.5000 0.5000 0.5000
F1 F 0.2899 0.2899 0.7101
F2 F 0.2899 0.7101 0.2899
F3 F 0.2899 0.7101 0.7101
F4 F 0.7101 0.2899 0.2899
F5 F 0.7101 0.2899 0.7101
F6 F 0.7101 0.7101 0.2899
```

Most intense lines, 15° ≤ 2θ ≤ 90°, sorted by position:
| d/Å | Position (°2θ) | I (rel.) |
| --- | --- | --- |
| 3.250 | 27.44 | 100 |
| 2.298 | 39.20 | 39 |
| 1.876 | 48.52 | 37 |
| 1.625 | 56.64 | 23 |
| 1.453 | 64.07 | 21 |
| 1.228 | 77.75 | 22 |